Entry 1:
Simulated powder X-ray diffraction pattern
Compound: SiAgMo
Radiation: a wavelength of 1.5418 Å
Structure: DFT lattice parameters and positions (PBE)

Crystal structure
a b c (Å): 2.8564 2.8564 6.7412
angles (deg): 90.00 90.00 120.00
Space group P3m1 (No. 156)
Unique sites:
Si 0.0000 0.0000 0.0000 [1 per cell]
Ag 0.3333 0.6667 0.3351 [1 per cell]
Mo 0.6667 0.3333 0.7005 [1 per cell]

Most intense lines, 2θ = 10–90°, in order of rising 2θ:
13.13°, d = 6.741 Å, I 23, (0 0 1); 26.44°, d = 3.371 Å, I 18, (0 0 2); 36.32°, d = 2.474 Å, I 11, (1 0 0); 38.78°, d = 2.322 Å, I 100, (0 1 1); 40.13°, d = 2.247 Å, I 24, (0 0 3); 45.48°, d = 1.994 Å, I 53, (1 0 2); 55.23°, d = 1.663 Å, I 9, (0 1 3); 65.34°, d = 1.428 Å, I 18, (1 1 0); 67.22°, d = 1.393 Å, I 20, (0 1 4); 78.65°, d = 1.217 Å, I 12, (2 0 1); 79.52°, d = 1.205 Å, I 18, (1 1 3); 83.20°, d = 1.161 Å, I 9, (0 2 2)


Entry 2:
Simulated powder X-ray diffraction pattern
Compound: CuH4Pd6
Radiation: a wavelength of 1.5418 Å
Structure: DFT lattice parameters and positions (PBE)

Crystal structure
a b c (Å): 3.9453 13.3183 4.9292
angles (deg): 90.00 112.72 90.00
Space group P2_1/m (No. 11)
Unique sites:
Cu 0.2126 0.2500 0.3947 [2 per cell]
H 0.1591 0.1255 0.9055 [4 per cell]
H 0.2858 0.5612 0.5149 [4 per cell]
Pd 0.0000 0.0000 0.0000 [2 per cell]
Pd 0.0852 0.7500 0.2068 [2 per cell]
Pd 0.3065 0.0724 0.6027 [4 per cell]
Pd 0.3897 0.6455 0.8122 [4 per cell]

Most intense lines, 2θ = 10–90°, in order of rising 2θ:
32.01°, d = 2.796 Å, I 27, (1 3 -1); 36.58°, d = 2.457 Å, I 93, (1 4 0); 36.77°, d = 2.444 Å, I 100, (1 4 -1); 37.75°, d = 2.383 Å, I 87, (1 1 1); 38.32°, d = 2.349 Å, I 71, (1 1 -2); 39.20°, d = 2.298 Å, I 68, (0 5 1); 39.61°, d = 2.276 Å, I 43, (1 2 1); 40.15°, d = 2.246 Å, I 55, (1 2 -2); 42.02°, d = 2.150 Å, I 69, (1 5 0); 44.79°, d = 2.024 Å, I 53, (0 3 2); 45.47°, d = 1.995 Å, I 42, (0 6 1); 46.01°, d = 1.972 Å, I 84, (2 0 -1)


Entry 3:
Simulated powder X-ray diffraction pattern
Compound: YTePt2
Radiation: a wavelength of 1.5418 Å
Structure: DFT lattice parameters and positions (PBE)

Crystal structure
a b c (Å): 10.0946 4.0259 4.2686
angles (deg): 90.00 100.27 90.00
Space group Cm (No. 8)
Unique sites:
Y 0.0000 0.0000 0.0000 [2 per cell]
Te 0.2474 0.5000 0.2652 [2 per cell]
Pt 0.0325 0.5000 0.5463 [2 per cell]
Pt 0.2766 0.0000 0.7380 [2 per cell]

Most intense lines, 2θ = 10–90°, in order of rising 2θ:
21.15°, d = 4.200 Å, I 13, (0 0 1); 23.85°, d = 3.731 Å, I 11, (1 1 0); 33.17°, d = 2.701 Å, I 100, (1 1 1); 36.17°, d = 2.483 Å, I 36, (4 0 0); 38.62°, d = 2.331 Å, I 69, (3 1 -1); 43.70°, d = 2.071 Å, I 22, (2 0 -2); 45.04°, d = 2.013 Å, I 22, (0 2 0); 50.08°, d = 1.821 Å, I 14, (2 0 2); 59.08°, d = 1.564 Å, I 17, (4 2 0); 59.52°, d = 1.553 Å, I 14, (5 1 1); 64.56°, d = 1.444 Å, I 14, (2 2 -2); 70.16°, d = 1.341 Å, I 18, (1 1 -3)


Entry 4:
Simulated powder X-ray diffraction pattern
Compound: ThP2Ru2
Radiation: a wavelength of 1.5418 Å
Structure: DFT lattice parameters and positions (PBE)

Crystal structure
a b c (Å): 7.5781 4.1627 10.5288
angles (deg): 90.00 90.00 90.00
Space group Pnma (No. 62)
Unique sites:
Th 0.2331 0.2500 0.1686 [4 per cell]
P 0.0292 0.7500 0.3402 [4 per cell]
P 0.0950 0.7500 0.9698 [4 per cell]
Ru 0.1103 0.2500 0.4504 [4 per cell]
Ru 0.1329 0.2500 0.8674 [4 per cell]

Most intense lines, 2θ = 10–90°, in order of rising 2θ:
22.97°, d = 3.871 Å, I 20, (0 1 1); 23.48°, d = 3.789 Å, I 17, (2 0 0); 31.94°, d = 2.802 Å, I 25, (2 1 0); 33.08°, d = 2.708 Å, I 41, (2 1 1); 35.49°, d = 2.529 Å, I 100, (1 1 3); 36.12°, d = 2.486 Å, I 26, (1 0 4); 39.57°, d = 2.277 Å, I 32, (3 0 2); 42.74°, d = 2.115 Å, I 15, (3 1 1); 43.48°, d = 2.081 Å, I 29, (0 2 0); 57.77°, d = 1.596 Å, I 14, (1 2 4); 60.23°, d = 1.536 Å, I 19, (3 2 2); 70.60°, d = 1.334 Å, I 14, (4 1 5)


Entry 5:
Simulated powder X-ray diffraction pattern
Compound: MgZn10In
Radiation: a wavelength of 1.5418 Å
Structure: DFT lattice parameters and positions (PBE)

Crystal structure
a b c (Å): 4.2498 5.4883 8.9677
angles (deg): 90.00 90.00 90.00
Space group Pmmm (No. 47)
Unique sites:
Mg 0.0000 0.0000 0.0000 [1 per cell]
Zn 0.0000 0.0000 0.3306 [2 per cell]
Zn 0.0000 0.5000 0.1673 [2 per cell]
Zn 0.5000 0.0000 0.5000 [1 per cell]
Zn 0.5000 0.2393 0.2379 [4 per cell]
Zn 0.5000 0.5000 0.0000 [1 per cell]
In 0.0000 0.5000 0.5000 [1 per cell]

Most intense lines, 2θ = 10–90°, in order of rising 2θ:
18.96°, d = 4.681 Å, I 20, (0 1 1); 34.16°, d = 2.625 Å, I 22, (0 1 3); 38.46°, d = 2.341 Å, I 30, (0 2 2); 39.07°, d = 2.305 Å, I 53, (1 2 0); 40.39°, d = 2.233 Å, I 100, (1 1 3); 42.54°, d = 2.125 Å, I 47, (2 0 0); 44.17°, d = 2.050 Å, I 42, (1 2 2); 45.76°, d = 1.983 Å, I 17, (1 0 4); 58.68°, d = 1.573 Å, I 19, (2 2 2); 63.51°, d = 1.465 Å, I 23, (1 3 3); 71.94°, d = 1.313 Å, I 18, (0 2 6); 87.32°, d = 1.117 Å, I 21, (2 2 6)


Entry 6:
Simulated powder X-ray diffraction pattern
Compound: Ce6TeAs2Se3
Radiation: a wavelength of 1.5418 Å
Structure: DFT lattice parameters and positions (PBE)

Crystal structure
a b c (Å): 18.5335 4.2542 8.5426
angles (deg): 90.00 102.83 90.00
Space group C2/m (No. 12)
Unique sites:
Ce 0.0031 0.0000 0.2666 [4 per cell]
Ce 0.1678 0.5000 0.5800 [4 per cell]
Ce 0.1729 0.5000 0.0911 [4 per cell]
Te 0.0000 0.5000 0.0000 [2 per cell]
As 0.1676 0.0000 0.3338 [4 per cell]
Se 0.0000 0.5000 0.5000 [2 per cell]
Se 0.1635 0.0000 0.8320 [4 per cell]

Most intense lines, 2θ = 10–90°, in order of rising 2θ:
25.65°, d = 3.473 Å, I 8, (3 1 0); 29.65°, d = 3.013 Å, I 100, (1 1 -2); 42.30°, d = 2.137 Å, I 37, (2 0 -4); 42.54°, d = 2.125 Å, I 37, (0 2 0); 52.30°, d = 1.749 Å, I 6, (4 0 4); 52.71°, d = 1.737 Å, I 20, (6 2 0); 61.55°, d = 1.507 Å, I 12, (2 2 -4); 69.62°, d = 1.351 Å, I 16, (4 2 4); 69.93°, d = 1.345 Å, I 11, (1 3 -2); 77.19°, d = 1.236 Å, I 6, (3 1 6); 77.66°, d = 1.230 Å, I 8, (5 3 2); 77.79°, d = 1.228 Å, I 8, (7 3 -2)


Entry 7:
Simulated powder X-ray diffraction pattern
Compound: HfMg2Pd2
Radiation: a wavelength of 1.5418 Å
Structure: DFT lattice parameters and positions (PBE)

Crystal structure
a b c (Å): 7.0434 7.0434 3.7618
angles (deg): 90.00 90.00 90.00
Space group P4/mbm (No. 127)
Unique sites:
Hf 0.0000 0.0000 0.0000 [2 per cell]
Mg 0.1576 0.3424 0.5000 [4 per cell]
Pd 0.1404 0.6404 0.0000 [4 per cell]

Most intense lines, 2θ = 10–90°, in order of rising 2θ:
23.65°, d = 3.762 Å, I 100, (0 0 1); 25.29°, d = 3.522 Å, I 18, (2 0 0); 28.33°, d = 3.150 Å, I 34, (2 1 0); 29.76°, d = 3.002 Å, I 20, (1 1 1); 34.90°, d = 2.571 Å, I 30, (2 0 1); 36.07°, d = 2.490 Å, I 21, (2 2 0); 37.23°, d = 2.415 Å, I 88, (2 1 1); 40.50°, d = 2.227 Å, I 88, (3 1 0); 43.59°, d = 2.076 Å, I 21, (2 2 1); 47.44°, d = 1.917 Å, I 77, (3 1 1); 48.39°, d = 1.881 Å, I 25, (0 0 2); 64.89°, d = 1.437 Å, I 44, (3 1 2)


Entry 8:
Simulated powder X-ray diffraction pattern
Compound: Ba3ZnPb2
Radiation: a wavelength of 1.5418 Å
Structure: DFT lattice parameters and positions (PBE)

Crystal structure
a b c (Å): 14.0087 5.0568 13.7463
angles (deg): 90.00 90.00 90.00
Space group Pnma (No. 62)
Unique sites:
Ba 0.0584 0.2500 0.1239 [4 per cell]
Ba 0.1231 0.7500 0.5613 [4 per cell]
Ba 0.2098 0.2500 0.8064 [4 per cell]
Zn 0.1287 0.2500 0.3774 [4 per cell]
Pb 0.0294 0.7500 0.3167 [4 per cell]
Pb 0.1951 0.7500 0.9908 [4 per cell]

Most intense lines, 2θ = 10–90°, in order of rising 2θ:
18.08°, d = 4.906 Å, I 29, (2 0 2); 25.29°, d = 3.521 Å, I 36, (2 1 2); 26.25°, d = 3.395 Å, I 100, (0 1 3); 26.76°, d = 3.331 Å, I 56, (3 1 1); 27.02°, d = 3.300 Å, I 56, (1 1 3); 29.09°, d = 3.070 Å, I 62, (3 1 2); 31.75°, d = 2.818 Å, I 36, (4 1 1); 33.75°, d = 2.656 Å, I 50, (4 1 2); 34.04°, d = 2.634 Å, I 26, (2 1 4); 35.50°, d = 2.528 Å, I 60, (0 2 0); 37.98°, d = 2.369 Å, I 36, (3 0 5); 52.97°, d = 1.729 Å, I 28, (3 2 5)


Entry 9:
Simulated powder X-ray diffraction pattern
Compound: V3TcRh6
Radiation: a wavelength of 1.5418 Å
Structure: DFT lattice parameters and positions (PBE)

Crystal structure
a b c (Å): 7.2269 4.3277 9.4141
angles (deg): 90.00 109.23 90.00
Space group P2_1/m (No. 11)
Unique sites:
V 0.0851 0.2500 0.2369 [2 per cell]
V 0.3007 0.2500 0.0323 [2 per cell]
V 0.3054 0.7500 0.3674 [2 per cell]
Tc 0.0976 0.7500 0.5665 [2 per cell]
Rh 0.0924 0.2500 0.7327 [2 per cell]
Rh 0.1085 0.7500 0.0719 [2 per cell]
Rh 0.2958 0.2500 0.5285 [2 per cell]
Rh 0.3015 0.7500 0.8686 [2 per cell]
Rh 0.4902 0.2500 0.3279 [2 per cell]
Rh 0.4994 0.2500 0.8331 [2 per cell]

Most intense lines, 2θ = 10–90°, in order of rising 2θ:
38.04°, d = 2.365 Å, I 10, (3 0 -2); 38.21°, d = 2.356 Å, I 29, (2 0 2); 41.74°, d = 2.164 Å, I 40, (0 2 0); 43.61°, d = 2.075 Å, I 56, (3 1 -2); 43.76°, d = 2.069 Å, I 100, (1 1 -4); 57.86°, d = 1.594 Å, I 16, (2 2 2); 77.54°, d = 1.231 Å, I 18, (3 3 -2); 77.63°, d = 1.230 Å, I 9, (1 3 -4); 83.80°, d = 1.154 Å, I 10, (5 2 0); 83.92°, d = 1.153 Å, I 10, (4 2 -6); 84.17°, d = 1.150 Å, I 10, (1 2 6); 85.36°, d = 1.137 Å, I 8, (4 1 4)


Entry 10:
Simulated powder X-ray diffraction pattern
Compound: Ho2TlF7
Radiation: a wavelength of 1.5418 Å
Structure: DFT lattice parameters and positions (PBE)

Crystal structure
a b c (Å): 7.0447 11.4032 4.3634
angles (deg): 90.00 90.00 90.00
Space group Cmmm (No. 65)
Unique sites:
Ho 0.0000 0.1924 0.0000 [4 per cell]
Tl 0.0000 0.5000 0.5000 [2 per cell]
F 0.0000 0.0000 0.0000 [2 per cell]
F 0.0000 0.2022 0.5000 [4 per cell]
F 0.1888 0.3539 0.0000 [8 per cell]

Most intense lines, 2θ = 10–90°, in order of rising 2θ:
25.26°, d = 3.525 Å, I 100, (2 0 0); 25.71°, d = 3.465 Å, I 50, (0 2 1); 26.65°, d = 3.345 Å, I 60, (1 3 0); 36.37°, d = 2.470 Å, I 34, (2 2 1); 41.39°, d = 2.182 Å, I 18, (0 0 2); 44.53°, d = 2.035 Å, I 19, (3 1 1); 45.40°, d = 1.998 Å, I 20, (3 3 0); 46.76°, d = 1.943 Å, I 30, (1 5 1); 49.12°, d = 1.855 Å, I 14, (2 0 2); 49.90°, d = 1.827 Å, I 22, (1 3 2); 60.43°, d = 1.532 Å, I 14, (3 5 1); 63.10°, d = 1.473 Å, I 15, (3 3 2)


Entry 11:
Simulated powder X-ray diffraction pattern
Compound: Dy5YEr5
Radiation: a wavelength of 1.5418 Å
Structure: DFT lattice parameters and positions (PBE)

Crystal structure
a b c (Å): 6.7868 6.9374 8.2620
angles (deg): 76.14 76.91 72.66
Space group P-1 (No. 2)
Unique sites:
Dy 0.0000 0.0000 0.0000 [1 per cell]
Dy 0.1579 0.1301 0.3584 [2 per cell]
Dy 0.3272 0.2651 0.6548 [2 per cell]
Y 0.0000 0.5000 0.0000 [1 per cell]
Er 0.2063 0.6374 0.3176 [2 per cell]
Er 0.3531 0.7478 0.7198 [2 per cell]
Er 0.5000 0.0000 0.0000 [1 per cell]

Most intense lines, 2θ = 10–90°, in order of rising 2θ:
30.46°, d = 2.935 Å, I 15, (1 2 2); 31.61°, d = 2.830 Å, I 56, (0 2 -1); 31.93°, d = 2.803 Å, I 100, (2 0 -1); 32.23°, d = 2.777 Å, I 72, (0 2 2); 32.43°, d = 2.761 Å, I 97, (2 2 1); 32.97°, d = 2.717 Å, I 74, (2 0 2); 34.01°, d = 2.636 Å, I 89, (0 0 3); 44.59°, d = 2.032 Å, I 20, (2 -2 0); 46.50°, d = 1.953 Å, I 17, (2 2 -2); 48.89°, d = 1.863 Å, I 21, (2 2 4); 56.92°, d = 1.618 Å, I 27, (4 0 1); 58.94°, d = 1.567 Å, I 15, (2 0 -4)